1.
This entry pairs a crystal structure of Ba3NaBiO6 with its calculated powder diffractogram. Radiation: Cu Kα. Structure: DFT lattice parameters and positions (GGA-PBE).
Intensities are scaled so that the largest is 100.

Structure:
abc: 10.120 10.120 6.671
angles: 94.54 94.54 121.90
Sites, in units of the cell vectors:
Ba: 0.062 0.330 0.748
Ba: 0.211 0.789 0.750
Ba: 0.330 0.062 0.248
Ba: 0.670 0.938 0.752
Ba: 0.789 0.211 0.250
Ba: 0.938 0.670 0.252
Na: 0.024 0.976 0.750
Na: 0.976 0.024 0.250
Bi: 0.500 0.500 0.000
Bi: 0.500 0.500 0.500
O: 0.060 0.512 0.431
O: 0.093 0.870 0.009
O: 0.130 0.907 0.491
O: 0.327 0.351 0.711
O: 0.351 0.327 0.211
O: 0.488 0.940 0.069
O: 0.512 0.060 0.931
O: 0.649 0.673 0.789
O: 0.673 0.649 0.289
O: 0.870 0.093 0.509
O: 0.907 0.130 0.991
O: 0.940 0.488 0.569

Most intense lines, 15 to 90 degrees two-theta, low angle first:
16.79°, d 5.281, I 30.3
17.60°, d 5.039, I 100.0
23.23°, d 3.829, I 24.5
26.53°, d 3.360, I 21.1
27.29°, d 3.268, I 44.8
28.95°, d 3.084, I 17.0
29.16°, d 3.062, I 18.9
33.25°, d 2.694, I 40.2


2.
This entry pairs a crystal structure of Pu3Ta with its calculated powder diffractogram. Radiation: Cu Kα. Structure: DFT lattice parameters and positions (GGA-PBE).
Intensities are scaled so that the largest is 100.

Structure:
abc: 4.199 4.199 4.199
angles: 90.00 90.00 90.00
Sites, in units of the cell vectors:
Pu: 0.000 0.000 0.500
Pu: 0.000 0.500 0.000
Pu: 0.500 0.000 0.000
Ta: 0.500 0.500 0.500

Most intense lines, 15 to 90 degrees two-theta, low angle first:
21.16°, d 4.199, I 1.1
30.09°, d 2.969, I 1.0
37.08°, d 2.425, I 100.0
43.08°, d 2.100, I 49.8
48.47°, d 1.878, I 0.6
62.56°, d 1.485, I 33.8
75.01°, d 1.266, I 40.3
78.98°, d 1.212, I 11.8


3.
This entry pairs a crystal structure of BaNb2O6 with its calculated powder diffractogram. Radiation: Cu Kα. Structure: DFT lattice parameters and positions (GGA-PBE).
Intensities are scaled so that the largest is 100.

Structure:
abc: 10.728 3.979 6.235
angles: 90.00 90.00 90.00
Sites, in units of the cell vectors:
Ba: 0.250 0.000 0.188
Ba: 0.750 0.000 0.812
Nb: 0.078 0.500 0.715
Nb: 0.422 0.500 0.715
Nb: 0.578 0.500 0.285
Nb: 0.922 0.500 0.285
O: 0.000 0.500 0.000
O: 0.087 0.000 0.721
O: 0.107 0.500 0.395
O: 0.250 0.500 0.844
O: 0.393 0.500 0.395
O: 0.413 0.000 0.721
O: 0.500 0.500 0.000
O: 0.587 0.000 0.279
O: 0.607 0.500 0.605
O: 0.750 0.500 0.156
O: 0.893 0.500 0.605
O: 0.913 0.000 0.279

Most intense lines, 15 to 90 degrees two-theta, low angle first:
27.89°, d 3.199, I 100.0
28.63°, d 3.117, I 28.8
28.78°, d 3.102, I 68.9
40.42°, d 2.232, I 13.1
45.59°, d 1.990, I 17.3
50.47°, d 1.808, I 24.1
51.09°, d 1.788, I 11.2
54.79°, d 1.675, I 30.8


4.
This entry pairs a crystal structure of La2MgZnSbO6 with its calculated powder diffractogram. Radiation: Cu Kα. Structure: DFT lattice parameters and positions (GGA-PBE).
Intensities are scaled so that the largest is 100.

Structure:
abc: 5.665 6.256 6.260
angles: 64.86 75.49 64.52
Sites, in units of the cell vectors:
La: 0.000 0.000 0.000
La: 0.328 0.607 0.614
Mg: 0.683 0.573 0.119
Zn: 0.706 0.969 0.589
Sb: 0.303 0.226 0.240
O: 0.349 0.940 0.685
O: 0.419 0.893 0.191
O: 0.575 0.365 0.993
O: 0.673 0.330 0.456
O: 0.917 0.739 0.881
O: 0.962 0.772 0.389

Most intense lines, 15 to 90 degrees two-theta, low angle first:
24.48°, d 3.637, I 46.9
27.03°, d 3.299, I 65.1
28.88°, d 3.092, I 100.0
29.43°, d 3.035, I 51.7
29.95°, d 2.984, I 82.1
30.29°, d 2.951, I 73.5
32.33°, d 2.769, I 81.0
35.02°, d 2.563, I 66.0


5.
This entry pairs a crystal structure of Rb3HS2O8 with its calculated powder diffractogram. Radiation: Cu Kα. Structure: DFT lattice parameters and positions (GGA-PBE).
Intensities are scaled so that the largest is 100.

Structure:
abc: 8.323 8.323 10.330
angles: 101.64 101.64 42.34
Sites, in units of the cell vectors:
Rb: 0.034 0.587 0.348
Rb: 0.244 0.756 0.750
Rb: 0.413 0.966 0.152
Rb: 0.587 0.034 0.848
Rb: 0.756 0.244 0.250
Rb: 0.966 0.413 0.652
H: 0.500 0.500 0.000
H: 0.500 0.500 0.500
S: 0.168 0.601 0.035
S: 0.399 0.832 0.465
S: 0.601 0.168 0.535
S: 0.832 0.399 0.965
O: 0.052 0.197 0.897
O: 0.118 0.579 0.890
O: 0.197 0.052 0.397
O: 0.313 0.658 0.054
O: 0.322 0.373 0.095
O: 0.342 0.687 0.446
O: 0.373 0.322 0.595
O: 0.421 0.882 0.610
O: 0.579 0.118 0.390
O: 0.627 0.678 0.405
O: 0.658 0.313 0.554
O: 0.678 0.627 0.905
O: 0.687 0.342 0.946
O: 0.803 0.948 0.603
O: 0.882 0.421 0.110
O: 0.948 0.803 0.103

Most intense lines, 15 to 90 degrees two-theta, low angle first:
26.00°, d 3.426, I 100.0
26.18°, d 3.403, I 50.8
29.72°, d 3.006, I 32.8
29.90°, d 2.988, I 71.8
35.52°, d 2.528, I 21.6
40.04°, d 2.252, I 51.7
43.46°, d 2.082, I 27.1
62.49°, d 1.486, I 13.4


6.
This entry pairs a crystal structure of SrEuGdSbO6 with its calculated powder diffractogram. Radiation: Cu Kα. Structure: DFT lattice parameters and positions (GGA-PBE).
Intensities are scaled so that the largest is 100.

Structure:
abc: 5.868 6.003 8.390
angles: 89.93 89.67 89.97
Sites, in units of the cell vectors:
Sr: 0.013 0.453 0.251
Sr: 0.987 0.547 0.749
Eu: 0.487 0.952 0.248
Eu: 0.513 0.048 0.752
Gd: 0.000 0.000 0.000
Gd: 0.500 0.500 0.500
Sb: 0.000 0.000 0.500
Sb: 0.500 0.500 0.000
O: 0.097 0.976 0.733
O: 0.187 0.722 0.450
O: 0.223 0.692 0.048
O: 0.278 0.190 0.449
O: 0.315 0.219 0.050
O: 0.411 0.471 0.767
O: 0.589 0.529 0.233
O: 0.685 0.781 0.950
O: 0.722 0.810 0.551
O: 0.777 0.308 0.952
O: 0.813 0.278 0.550
O: 0.903 0.024 0.267

Most intense lines, 15 to 90 degrees two-theta, low angle first:
29.77°, d 3.001, I 46.3
30.06°, d 2.973, I 100.0
30.19°, d 2.961, I 99.4
30.47°, d 2.934, I 47.8
43.12°, d 2.098, I 72.5
53.04°, d 1.727, I 22.9
53.83°, d 1.703, I 32.0
54.05°, d 1.697, I 23.3


7.
This entry pairs a crystal structure of EuInAu with its calculated powder diffractogram. Radiation: Cu Kα. Structure: DFT lattice parameters and positions (GGA-PBE).
Intensities are scaled so that the largest is 100.

Structure:
abc: 7.581 4.753 8.573
angles: 90.00 90.00 90.00
Sites, in units of the cell vectors:
Eu: 0.025 0.250 0.184
Eu: 0.475 0.750 0.684
Eu: 0.525 0.250 0.316
Eu: 0.975 0.750 0.816
In: 0.157 0.250 0.565
In: 0.343 0.750 0.065
In: 0.657 0.250 0.935
In: 0.843 0.750 0.435
Au: 0.226 0.750 0.383
Au: 0.274 0.250 0.883
Au: 0.726 0.750 0.117
Au: 0.774 0.250 0.617

Most intense lines, 15 to 90 degrees two-theta, low angle first:
30.46°, d 2.935, I 51.5
31.95°, d 2.801, I 100.0
36.69°, d 2.449, I 46.0
37.09°, d 2.424, I 21.8
37.86°, d 2.377, I 45.0
38.63°, d 2.331, I 22.7
41.48°, d 2.177, I 19.1
59.83°, d 1.546, I 15.1


8.
This entry pairs a crystal structure of DyTmRh2 with its calculated powder diffractogram. Radiation: Cu Kα. Structure: DFT lattice parameters and positions (GGA-PBE).
Intensities are scaled so that the largest is 100.

Structure:
abc: 4.815 4.815 4.815
angles: 60.00 60.00 60.00
Sites, in units of the cell vectors:
Dy: 0.000 0.000 0.000
Tm: 0.500 0.500 0.500
Rh: 0.250 0.250 0.250
Rh: 0.750 0.750 0.750

Most intense lines, 15 to 90 degrees two-theta, low angle first:
26.17°, d 3.405, I 5.6
37.35°, d 2.408, I 100.0
46.18°, d 1.966, I 1.8
53.85°, d 1.702, I 17.4
60.83°, d 1.523, I 2.4
67.37°, d 1.390, I 35.2
79.64°, d 1.204, I 11.0
85.57°, d 1.135, I 1.3


9.
This entry pairs a crystal structure of Pr2IrAu with its calculated powder diffractogram. Radiation: Cu Kα. Structure: DFT lattice parameters and positions (GGA-PBE).
Intensities are scaled so that the largest is 100.

Structure:
abc: 5.173 5.173 5.173
angles: 60.00 60.00 60.00
Sites, in units of the cell vectors:
Pr: 0.250 0.250 0.250
Pr: 0.750 0.750 0.750
Ir: 0.000 0.000 0.000
Au: 0.500 0.500 0.500

Most intense lines, 15 to 90 degrees two-theta, low angle first:
24.33°, d 3.658, I 2.7
34.68°, d 2.587, I 100.0
42.82°, d 2.112, I 0.9
49.86°, d 1.829, I 18.1
56.23°, d 1.636, I 1.3
62.16°, d 1.493, I 37.4
73.18°, d 1.293, I 11.6
83.58°, d 1.157, I 16.6